Structure and simulated powder diffractogram of YPH4O6 (a crystal structure in the Materials Project, relaxed with PBE; CuKα).
Kinematic intensities with the Lorentz-polarization factor, no thermal factor.

Top 12 peaks for 10° ≤ 2θ ≤ 80°, sorted by position:
two_theta, d [Å], I_rel
11.76, 7.524, 68
18.77, 4.727, 19
21.13, 4.205, 100
23.69, 3.756, 19
29.57, 3.021, 63
31.26, 2.861, 41
33.91, 2.643, 29
36.07, 2.490, 14
41.43, 2.179, 14
48.55, 1.875, 18
49.49, 1.842, 14
51.21, 1.784, 24

Cell and atoms:
```
data_YPH4O6
_symmetry_space_group_name_H-M 'P 1'
_symmetry_Int_Tables_number 1
_cell_length_a 8.147
_cell_length_b 8.147
_cell_length_c 5.612
_cell_angle_alpha 99.46
_cell_angle_beta 99.46
_cell_angle_gamma 134.90
loop_
_symmetry_equiv_pos_as_xyz
'x,y,z'
loop_
_atom_site_label
_atom_site_type_symbol
_atom_site_fract_x
_atom_site_fract_y
_atom_site_fract_z
Y1 Y 0.172 0.828 0.750
Y2 Y 0.828 0.172 0.250
P1 P 0.332 0.668 0.250
P2 P 0.668 0.332 0.750
H1 H 0.153 0.321 0.755
H2 H 0.238 0.242 0.573
H3 H 0.242 0.238 0.073
H4 H 0.321 0.153 0.255
H5 H 0.679 0.847 0.745
H6 H 0.758 0.762 0.927
H7 H 0.762 0.758 0.427
H8 H 0.847 0.679 0.245
O1 O 0.142 0.277 0.573
O2 O 0.168 0.390 0.078
O3 O 0.185 0.638 0.418
O4 O 0.277 0.142 0.073
O5 O 0.362 0.815 0.082
O6 O 0.390 0.168 0.578
O7 O 0.610 0.832 0.422
O8 O 0.638 0.185 0.918
O9 O 0.723 0.858 0.927
O10 O 0.815 0.362 0.582
O11 O 0.832 0.610 0.922
O12 O 0.858 0.723 0.427
```

Structure and simulated powder diffractogram of Lu2Ru2O7 (a crystal structure in the Materials Project, relaxed with PBE; CuKα).
Kinematic intensities with the Lorentz-polarization factor, no thermal factor.

Top 12 peaks for 10° ≤ 2θ ≤ 80°, sorted by position:
two_theta, d [Å], I_rel
15.21, 5.825, 7
29.36, 3.042, 3
30.69, 2.913, 100
35.59, 2.523, 33
38.91, 2.315, 6
46.78, 1.942, 3
51.22, 1.784, 47
53.75, 1.706, 2
60.90, 1.521, 42
63.92, 1.456, 10
66.14, 1.413, 1
75.36, 1.261, 7

Cell and atoms:
```
data_Lu2Ru2O7
_symmetry_space_group_name_H-M 'P 1'
_symmetry_Int_Tables_number 1
_cell_length_a 7.135
_cell_length_b 7.135
_cell_length_c 7.135
_cell_angle_alpha 60.00
_cell_angle_beta 60.00
_cell_angle_gamma 60.00
loop_
_symmetry_equiv_pos_as_xyz
'x,y,z'
loop_
_atom_site_label
_atom_site_type_symbol
_atom_site_fract_x
_atom_site_fract_y
_atom_site_fract_z
Lu1 Lu 0.000 0.000 0.000
Lu2 Lu 0.000 0.000 0.500
Lu3 Lu 0.000 0.500 0.000
Lu4 Lu 0.500 0.000 0.000
Ru1 Ru 0.000 0.500 0.500
Ru2 Ru 0.500 0.000 0.500
Ru3 Ru 0.500 0.500 0.000
Ru4 Ru 0.500 0.500 0.500
O1 O 0.125 0.125 0.125
O2 O 0.161 0.161 0.589
O3 O 0.161 0.589 0.161
O4 O 0.161 0.589 0.589
O5 O 0.411 0.411 0.839
O6 O 0.411 0.839 0.411
O7 O 0.411 0.839 0.839
O8 O 0.589 0.161 0.161
O9 O 0.589 0.161 0.589
O10 O 0.589 0.589 0.161
O11 O 0.839 0.411 0.411
O12 O 0.839 0.411 0.839
O13 O 0.839 0.839 0.411
O14 O 0.875 0.875 0.875
```